1.
Diffraction record for Si7Tc4. The powder diffractogram is computed, not measured: it uses a GGA-PBE-relaxed structure and λ = 1.5418 Å (Cu Kα).
Lines closer than 0.1° are merged.

Crystal structure
```
Si7Tc4
1.0
5.7702 0.0000 0.0000
0.0000 5.7702 0.0000
0.0000 0.0000 18.1719
Si Tc
28 16
Direct
0.1505 0.1922 0.1148 Si
0.1505 0.8078 0.6148 Si
0.1533 0.3286 0.8165 Si
0.1533 0.6714 0.3165 Si
0.1922 0.1505 0.3852 Si
0.1922 0.8495 0.8852 Si
0.2274 0.3493 0.5398 Si
0.2274 0.6507 0.0398 Si
0.3286 0.1533 0.6835 Si
0.3286 0.8467 0.1835 Si
0.3406 0.3406 0.2500 Si
0.3406 0.6594 0.7500 Si
0.3493 0.2274 0.9602 Si
0.3493 0.7726 0.4602 Si
0.6507 0.2274 0.4602 Si
0.6507 0.7726 0.9602 Si
0.6594 0.3406 0.7500 Si
0.6594 0.6594 0.2500 Si
0.6714 0.1533 0.1835 Si
0.6714 0.8467 0.6835 Si
0.7726 0.3493 0.0398 Si
0.7726 0.6507 0.5398 Si
0.8078 0.1505 0.8852 Si
0.8078 0.8495 0.3852 Si
0.8467 0.3286 0.3165 Si
0.8467 0.6714 0.8165 Si
0.8495 0.1922 0.6148 Si
0.8495 0.8078 0.1148 Si
0.0000 0.0000 0.0000 Tc
0.0000 0.0000 0.2500 Tc
0.0000 0.0000 0.5000 Tc
0.0000 0.0000 0.7500 Tc
0.0000 0.5000 0.1925 Tc
0.0000 0.5000 0.4352 Tc
0.0000 0.5000 0.6925 Tc
0.0000 0.5000 0.9352 Tc
0.5000 0.0000 0.0648 Tc
0.5000 0.0000 0.3075 Tc
0.5000 0.0000 0.5648 Tc
0.5000 0.0000 0.8075 Tc
0.5000 0.5000 0.1303 Tc
0.5000 0.5000 0.3697 Tc
0.5000 0.5000 0.6303 Tc
0.5000 0.5000 0.8697 Tc
```

Top 10 peaks for 2θ from 15° to 90°, sorted by position:
2θ = 24.9°, I = 768
2θ = 31.0°, I = 427
2θ = 40.2°, I = 1000
2θ = 44.4°, I = 355
2θ = 45.7°, I = 599
2θ = 51.6°, I = 370
2θ = 65.6°, I = 226
2θ = 70.4°, I = 146
2θ = 73.4°, I = 159
2θ = 82.7°, I = 156

***

2.
Diffraction record for SiTc4Te. The powder diffractogram is computed, not measured: it uses a GGA-PBE-relaxed structure and λ = 1.5418 Å (Cu Kα).
Lines closer than 0.1° are merged.

Crystal structure
```
SiTc4Te
1.0
0.0000 3.6805 3.6805
3.6805 0.0000 3.6805
3.6805 3.6805 0.0000
Si Tc Te
1 4 1
Direct
0.0000 0.0000 0.0000 Si
0.1250 0.6250 0.6250 Tc
0.6250 0.1250 0.6250 Tc
0.6250 0.6250 0.1250 Tc
0.6250 0.6250 0.6250 Tc
0.2500 0.2500 0.2500 Te
```

Top 10 peaks for 2θ from 15° to 90°, sorted by position:
2θ = 20.9°, I = 251
2θ = 24.2°, I = 88
2θ = 34.5°, I = 185
2θ = 40.7°, I = 1000
2θ = 42.5°, I = 500
2θ = 49.5°, I = 87
2θ = 65.9°, I = 310
2θ = 72.7°, I = 266
2θ = 86.7°, I = 110
2θ = 88.0°, I = 181

***

3.
Diffraction record for ThSi3Tc4. The powder diffractogram is computed, not measured: it uses a GGA-PBE-relaxed structure and λ = 1.5418 Å (Cu Kα).
Lines closer than 0.1° are merged.

Crystal structure
```
ThSi3Tc4
1.0
4.1540 0.0000 0.0000
0.0000 4.1540 0.0000
0.0000 0.0000 7.8558
Th Si Tc
1 3 4
Direct
0.0000 0.0000 0.0000 Th
0.0000 0.0000 0.5000 Si
0.5000 0.5000 0.1612 Si
0.5000 0.5000 0.8388 Si
0.0000 0.5000 0.3277 Tc
0.0000 0.5000 0.6723 Tc
0.5000 0.0000 0.3277 Tc
0.5000 0.0000 0.6723 Tc
```

Top 10 peaks for 2θ from 15° to 90°, sorted by position:
2θ = 21.4°, I = 301
2θ = 24.2°, I = 312
2θ = 31.3°, I = 494
2θ = 32.5°, I = 1000
2θ = 34.2°, I = 369
2θ = 38.3°, I = 771
2θ = 43.6°, I = 657
2θ = 54.7°, I = 208
2θ = 56.6°, I = 351
2θ = 63.3°, I = 242

***

4.
Diffraction record for Th2Si3Tc2. The powder diffractogram is computed, not measured: it uses a GGA-PBE-relaxed structure and λ = 1.5418 Å (Cu Kα).
Lines closer than 0.1° are merged.

Crystal structure
```
Th2Si3Tc2
1.0
2.1446 -9.2261 0.0000
2.1446 9.2261 0.0000
0.0000 0.0000 6.7781
Th Si Tc
4 6 4
Direct
0.0505 0.9495 0.7500 Th
0.1606 0.8394 0.2500 Th
0.8394 0.1606 0.7500 Th
0.9495 0.0505 0.2500 Th
0.2161 0.7839 0.7500 Si
0.4388 0.5612 0.5676 Si
0.4388 0.5612 0.9324 Si
0.5612 0.4388 0.0676 Si
0.5612 0.4388 0.4324 Si
0.7839 0.2161 0.2500 Si
0.3092 0.6908 0.0476 Tc
0.3092 0.6908 0.4524 Tc
0.6908 0.3092 0.5476 Tc
0.6908 0.3092 0.9524 Tc
```

Top 10 peaks for 2θ from 15° to 90°, sorted by position:
2θ = 21.3°, I = 297
2θ = 23.3°, I = 441
2θ = 28.6°, I = 228
2θ = 32.0°, I = 282
2θ = 34.1°, I = 829
2θ = 34.7°, I = 1000
2θ = 42.1°, I = 332
2θ = 44.7°, I = 349
2θ = 56.7°, I = 231
2θ = 63.1°, I = 252

***

5.
Diffraction record for Th4SiTc. The powder diffractogram is computed, not measured: it uses a GGA-PBE-relaxed structure and λ = 1.5418 Å (Cu Kα).
Lines closer than 0.1° are merged.

Crystal structure
```
Th4SiTc
1.0
7.2325 0.0000 0.0000
0.0000 7.2325 0.0000
0.0000 0.0000 6.0508
Th Si Tc
8 2 2
Direct
0.1568 0.3274 0.0000 Th
0.1568 0.6726 0.5000 Th
0.3274 0.1568 0.5000 Th
0.3274 0.8432 0.0000 Th
0.6726 0.1568 0.0000 Th
0.6726 0.8432 0.5000 Th
0.8432 0.3274 0.5000 Th
0.8432 0.6726 0.0000 Th
0.5000 0.5000 0.2500 Si
0.5000 0.5000 0.7500 Si
0.0000 0.0000 0.2500 Tc
0.0000 0.0000 0.7500 Tc
```

Top 10 peaks for 2θ from 15° to 90°, sorted by position:
2θ = 29.5°, I = 188
2θ = 31.4°, I = 1000
2θ = 34.4°, I = 113
2θ = 38.8°, I = 194
2θ = 39.4°, I = 203
2θ = 53.5°, I = 230
2θ = 54.5°, I = 193
2θ = 62.5°, I = 160
2θ = 71.2°, I = 88
2θ = 72.0°, I = 97

***

6.
Diffraction record for ThSi3Tc3. The powder diffractogram is computed, not measured: it uses a GGA-PBE-relaxed structure and λ = 1.5418 Å (Cu Kα).
Lines closer than 0.1° are merged.

Crystal structure
```
ThSi3Tc3
1.0
3.3213 1.9176 6.7935
-3.3213 1.9176 6.7935
0.0000 -3.8351 6.7935
Th Si Tc
2 6 6
Direct
0.1660 0.1660 0.1660 Th
0.8340 0.8340 0.8340 Th
0.1723 0.3934 0.6600 Si
0.3400 0.8277 0.6066 Si
0.3934 0.6600 0.1723 Si
0.6066 0.3400 0.8277 Si
0.6600 0.1723 0.3934 Si
0.8277 0.6066 0.3400 Si
0.0267 0.2382 0.5944 Tc
0.2382 0.5944 0.0267 Tc
0.4056 0.9733 0.7618 Tc
0.5944 0.0267 0.2382 Tc
0.7618 0.4056 0.9733 Tc
0.9733 0.7618 0.4056 Tc
```

Top 10 peaks for 2θ from 15° to 90°, sorted by position:
2θ = 16.0°, I = 238
2θ = 17.7°, I = 257
2θ = 29.9°, I = 1000
2θ = 35.9°, I = 155
2θ = 37.9°, I = 559
2θ = 39.8°, I = 198
2θ = 41.8°, I = 219
2θ = 47.4°, I = 255
2θ = 61.3°, I = 133
2θ = 63.6°, I = 159

***

7.
Diffraction record for Th2SiTc. The powder diffractogram is computed, not measured: it uses a GGA-PBE-relaxed structure and λ = 1.5418 Å (Cu Kα).
Lines closer than 0.1° are merged.

Crystal structure
```
Th2SiTc
1.0
4.0892 0.0000 0.0000
0.0000 2.1023 5.5374
0.0000 -2.1023 5.5374
Th Si Tc
2 1 1
Direct
0.0000 0.0000 0.0000 Th
0.5000 0.2768 0.2768 Th
0.0000 0.7024 0.7024 Si
0.5000 0.5571 0.5571 Tc
```

Top 10 peaks for 2θ from 15° to 90°, sorted by position:
2θ = 22.6°, I = 208
2θ = 27.1°, I = 491
2θ = 31.6°, I = 1000
2θ = 32.3°, I = 787
2θ = 39.3°, I = 546
2θ = 43.0°, I = 217
2θ = 44.3°, I = 200
2θ = 51.6°, I = 180
2θ = 51.7°, I = 186
2θ = 55.9°, I = 342

***

8.
Diffraction record for Ti6SiTc5. The powder diffractogram is computed, not measured: it uses a GGA-PBE-relaxed structure and λ = 1.5418 Å (Cu Kα).
Lines closer than 0.1° are merged.

Crystal structure
```
Ti6SiTc5
1.0
-2.1723 3.1310 6.5666
2.1723 -3.1310 6.5666
2.1723 3.1310 -6.5666
Ti Si Tc
6 1 5
Direct
0.0767 0.3307 0.7460 Ti
0.2396 0.0000 0.2396 Ti
0.4153 0.6693 0.7460 Ti
0.5847 0.3307 0.2540 Ti
0.7604 0.0000 0.7604 Ti
0.9233 0.6693 0.2540 Ti
0.5000 0.5000 0.0000 Si
0.0000 0.5000 0.5000 Tc
0.1685 0.1685 0.0000 Tc
0.3404 0.8404 0.5000 Tc
0.6596 0.1596 0.5000 Tc
0.8315 0.8315 0.0000 Tc
```

Top 10 peaks for 2θ from 15° to 90°, sorted by position:
2θ = 28.5°, I = 92
2θ = 29.0°, I = 119
2θ = 41.1°, I = 1000
2θ = 41.2°, I = 244
2θ = 41.6°, I = 243
2θ = 59.0°, I = 81
2θ = 60.0°, I = 153
2θ = 75.1°, I = 148
2θ = 75.5°, I = 152
2θ = 89.1°, I = 98